Record 1
Structure and simulated powder XRD pattern of BaNaGdWO6 (a structure optimized by DFT (PBE+U); Cu Kα (λ = 1.5418 Å)).
Neutral-atom scattering factors, no anomalous dispersion.

Crystal structure
a = 8.4695 Å, b = 8.4695 Å, c = 8.4695 Å
α = 90.00°, β = 90.00°, γ = 90.00°
Space group F-43m (No. 216)
Asymmetric unit:
Ba: 0.0000 0.0000 0.0000
Na: 0.0000 0.0000 0.5000
Gd: 0.2500 0.2500 0.7500
W: 0.2500 0.2500 0.2500
O: 0.0190 0.2500 0.2500

Principal peaks in the range 2θ from 10° to 90°, in order of rising 2θ:
- 2θ 18.14, intensity 14
- 2θ 20.98, intensity 26
- 2θ 29.84, intensity 100
- 2θ 35.14, intensity 7
- 2θ 42.70, intensity 30
- 2θ 48.04, intensity 11
- 2θ 52.96, intensity 41
- 2θ 61.98, intensity 19
- 2θ 70.29, intensity 18
- 2θ 85.87, intensity 22

***

Record 2
Structure and simulated powder XRD pattern of BaNaGdWO6 (a structure optimized by DFT (PBE+U); Cu Kα (λ = 1.5418 Å)).
Neutral-atom scattering factors, no anomalous dispersion.

Crystal structure
a = 8.3785 Å, b = 8.4331 Å, c = 8.4509 Å
α = 90.00°, β = 90.00°, γ = 90.00°
Space group Pnnn (No. 48, origin choice 2)
Asymmetric unit:
Ba: 0.2500 0.2500 0.2500
Ba: 0.2500 0.2500 0.7500
Na: 0.2500 0.7500 0.2500
Na: 0.2500 0.7500 0.7500
Gd: 0.0000 0.0000 0.0000
W: 0.0000 0.0000 0.5000
O: 0.0207 0.7293 0.0301
O: 0.0278 0.5272 0.7707
O: 0.2306 0.0293 0.4785

Principal peaks in the range 2θ from 10° to 90°, in order of rising 2θ:
- 2θ 14.90, intensity 15
- 2θ 21.05, intensity 26
- 2θ 21.21, intensity 13
- 2θ 29.94, intensity 51
- 2θ 30.05, intensity 100
- 2θ 42.85, intensity 29
- 2θ 43.19, intensity 14
- 2θ 53.22, intensity 43
- 2θ 53.44, intensity 21
- 2θ 62.47, intensity 17

***

Record 3
Structure and simulated powder XRD pattern of Ba2GdWO6 (a structure optimized by DFT (PBE+U); Cu Kα (λ = 1.5418 Å)).
Neutral-atom scattering factors, no anomalous dispersion.

Crystal structure
a = 8.5792 Å, b = 8.5792 Å, c = 8.5792 Å
α = 90.00°, β = 90.00°, γ = 90.00°
Space group Pn-3 (No. 201, origin choice 2)
Asymmetric unit:
Ba: 0.2500 0.2500 0.2500
Ba: 0.2500 0.2500 0.7500
Gd: 0.0000 0.0000 0.0000
W: 0.0000 0.0000 0.5000
O: 0.0126 0.5169 0.7659

Principal peaks in the range 2θ from 10° to 90°, in order of rising 2θ:
- 2θ 17.91, intensity 1
- 2θ 20.71, intensity 4
- 2θ 29.45, intensity 100
- 2θ 42.13, intensity 28
- 2θ 47.39, intensity 2
- 2θ 52.24, intensity 42
- 2θ 61.10, intensity 18
- 2θ 69.27, intensity 18
- 2θ 77.01, intensity 6
- 2θ 84.51, intensity 22

***

Record 4
Structure and simulated powder XRD pattern of Ba2GdWO6 (a structure optimized by DFT (PBE+U); Cu Kα (λ = 1.5418 Å)).
Neutral-atom scattering factors, no anomalous dispersion.

Crystal structure
a = 8.5752 Å, b = 8.5752 Å, c = 8.5752 Å
α = 90.00°, β = 90.00°, γ = 90.00°
Space group Fm-3m (No. 225)
Asymmetric unit:
Ba: 0.2500 0.2500 0.2500
Gd: 0.0000 0.0000 0.0000
W: 0.0000 0.0000 0.5000
O: 0.0000 0.0000 0.2661

Principal peaks in the range 2θ from 10° to 90°, in order of rising 2θ:
- 2θ 17.92, intensity 1
- 2θ 20.72, intensity 4
- 2θ 29.46, intensity 100
- 2θ 42.15, intensity 28
- 2θ 47.41, intensity 2
- 2θ 52.26, intensity 41
- 2θ 61.14, intensity 18
- 2θ 69.30, intensity 18
- 2θ 77.05, intensity 6
- 2θ 84.56, intensity 22

***

Record 5
Structure and simulated powder XRD pattern of Ba2MnGe2O7 (a structure optimized by DFT (PBE+U); Cu Kα (λ = 1.5418 Å)).
Neutral-atom scattering factors, no anomalous dispersion.

Crystal structure
a = 8.6229 Å, b = 8.6229 Å, c = 5.6158 Å
α = 90.00°, β = 90.00°, γ = 90.00°
Space group P-42_1m (No. 113)
Asymmetric unit:
Ba: 0.1655 0.3345 0.4921
Mn: 0.0000 0.0000 0.0000
Ge: 0.1393 0.6393 0.9541
O: 0.0000 0.5000 0.8344
O: 0.0785 0.8112 0.8051
O: 0.1393 0.6393 0.2649

Principal peaks in the range 2θ from 10° to 90°, in order of rising 2θ:
- 2θ 14.53, intensity 8
- 2θ 26.06, intensity 17
- 2θ 28.07, intensity 100
- 2θ 31.87, intensity 11
- 2θ 32.85, intensity 21
- 2θ 39.71, intensity 8
- 2θ 44.58, intensity 10
- 2θ 46.38, intensity 31
- 2θ 54.49, intensity 11
- 2θ 60.08, intensity 14

***

Record 6
Structure and simulated powder XRD pattern of BaLiV2Ni3H2O10 (a structure optimized by DFT (PBE+U); Cu Kα (λ = 1.5418 Å)).
Neutral-atom scattering factors, no anomalous dispersion.

Crystal structure
a = 5.9952 Å, b = 6.1564 Å, c = 7.8162 Å
α = 67.92°, β = 89.68°, γ = 61.54°
Space group P1 (No. 1)
Asymmetric unit:
Ba: 0.0000 0.0000 0.0000
Li: 0.3820 0.2748 0.6269
V: 0.4230 0.2294 0.2562
V: 0.6349 0.7993 0.8023
Ni: 0.0101 0.0504 0.5252
Ni: 0.5024 0.5944 0.4924
Ni: 0.9547 0.6074 0.4932
H: 0.2563 0.5567 0.7784
H: 0.7778 0.5449 0.2379
O: 0.2155 0.6286 0.6376
O: 0.2719 0.0296 0.7192
O: 0.2891 0.0154 0.3274
O: 0.2905 0.4820 0.3500
O: 0.3527 0.4048 0.0177
O: 0.7374 0.0603 0.6921
O: 0.7416 0.7019 0.0386
O: 0.7487 0.5577 0.6940
O: 0.7670 0.0178 0.3289
O: 0.8048 0.4590 0.3832

Principal peaks in the range 2θ from 10° to 90°, in order of rising 2θ:
- 2θ 12.51, intensity 58
- 2θ 19.03, intensity 69
- 2θ 25.17, intensity 54
- 2θ 26.15, intensity 98
- 2θ 27.20, intensity 86
- 2θ 27.37, intensity 94
- 2θ 30.97, intensity 61
- 2θ 31.39, intensity 54
- 2θ 34.48, intensity 54
- 2θ 38.61, intensity 100

***

Record 7
Structure and simulated powder XRD pattern of BaLiV2Ni3H2O10 (a structure optimized by DFT (PBE+U); Cu Kα (λ = 1.5418 Å)).
Neutral-atom scattering factors, no anomalous dispersion.

Crystal structure
a = 10.3343 Å, b = 5.8933 Å, c = 8.1400 Å
α = 90.00°, β = 115.44°, γ = 90.00°
Space group C2/m (No. 12)
Asymmetric unit:
Ba: 0.0000 0.0000 0.0000
Li: 0.0000 0.5000 0.5000
V: 0.1002 0.5000 0.7965
Ni: 0.0000 0.0000 0.5000
Ni: 0.2500 0.2500 0.5000
H: 0.2452 0.5000 0.2408
O: 0.0177 0.2632 0.3172
O: 0.1701 0.5000 0.0290
O: 0.2073 0.0000 0.6223
O: 0.2191 0.5000 0.6862

Principal peaks in the range 2θ from 10° to 90°, in order of rising 2θ:
- 2θ 24.22, intensity 22
- 2θ 26.64, intensity 100
- 2θ 30.05, intensity 27
- 2θ 32.41, intensity 28
- 2θ 32.55, intensity 29
- 2θ 32.74, intensity 28
- 2θ 33.45, intensity 22
- 2θ 38.73, intensity 36
- 2θ 54.85, intensity 23
- 2θ 62.46, intensity 22

***

Record 8
Structure and simulated powder XRD pattern of BaLiV2Ni3H2O10 (a structure optimized by DFT (PBE+U); Cu Kα (λ = 1.5418 Å)).
Neutral-atom scattering factors, no anomalous dispersion.

Crystal structure
a = 5.9485 Å, b = 5.9497 Å, c = 7.3465 Å
α = 76.50°, β = 76.31°, γ = 60.25°
Space group P1 (No. 1)
Asymmetric unit:
Ba: 0.0000 0.0000 0.0000
Li: 0.2906 0.3060 0.7844
V: 0.5757 0.5751 0.7314
V: 0.6596 0.6534 0.2215
Ni: 0.1210 0.1196 0.4823
Ni: 0.1225 0.6184 0.4637
Ni: 0.6179 0.1212 0.4664
H: 0.3478 0.3435 0.1844
H: 0.8549 0.8514 0.7396
O: 0.3115 0.3085 0.3243
O: 0.3135 0.8232 0.2747
O: 0.4046 0.9419 0.6729
O: 0.4448 0.4426 0.9466
O: 0.4533 0.4554 0.5849
O: 0.7459 0.7302 0.9833
O: 0.7943 0.7926 0.3232
O: 0.8273 0.3079 0.2781
O: 0.9213 0.9209 0.6155
O: 0.9428 0.4049 0.6710

Principal peaks in the range 2θ from 10° to 90°, in order of rising 2θ:
- 2θ 12.52, intensity 48
- 2θ 17.91, intensity 35
- 2θ 28.61, intensity 100
- 2θ 32.55, intensity 44
- 2θ 32.76, intensity 47
- 2θ 34.98, intensity 73
- 2θ 35.11, intensity 64
- 2θ 35.62, intensity 59
- 2θ 36.28, intensity 51
- 2θ 40.54, intensity 46